Calculated powder diffractogram
Compound: Rb2ZrBCl6
Radiation: a wavelength of 1.5418 Å
Structure: a cell relaxed with PBE
Intensities are scaled so that the largest is 100.

Main lines, in order of falling intensity (15° ≤ 2θ ≤ 90°):
- 2θ = 29.10°, I 100, hkl 2 0 2
- 2θ = 23.19°, I 93, hkl 1 1 2
- 2θ = 35.10°, I 88, hkl 2 2 0
- 2θ = 47.40°, I 64, hkl 2 2 4
- 2θ = 30.82°, I 59, hkl 0 0 4
- 2θ = 50.48°, I 44, hkl 4 0 0
- 2θ = 24.63°, I 38, hkl 2 0 0
- 2θ = 42.50°, I 38, hkl 3 1 2
- 2θ = 60.33°, I 30, hkl 4 0 4
- 2θ = 28.66°, I 23, hkl 2 1 1

Cell: 7.2302 7.2302 11.6050 Å, 90.00 90.00 90.00°
Space group I4/mmm (No. 139)
One atom of each set of equivalent atoms:
Rb: 0.0000 0.5000 0.2500
Zr: 0.0000 0.0000 0.0000
B: 0.0000 0.0000 0.5000
Cl: 0.0000 0.0000 0.2187
Cl: 0.2455 0.2455 0.0000